1.
Calculated PXRD pattern of HoPSe2S2 for Cu Kα (λ = 1.5418 Å), from a DFT-relaxed cell (PBE, OQMD).
Kinematic intensities with the Lorentz-polarization factor, no thermal factor.

Structure:
Lattice parameters (Å, degrees): 6.6036 6.7195 7.8386 87.36 87.20 80.97
Space group P-1 (No. 2)
Symmetry-distinct sites (fractional):
Ho 0.2074 0.2059 0.0566 x2
P 0.3097 0.7566 0.8178 x2
Se 0.0795 0.0262 0.7519 x2
Se 0.4151 0.2782 0.3508 x2
S 0.1314 0.5292 0.8069 x2
S 0.3903 0.7847 0.0671 x2

Most intense lines, 2θ from 10° to 90°, by angle:
- 2θ = 11.3°, rel. 1000, (0 0 1)
- 2θ = 17.9°, rel. 398, (0 1 -1)
- 2θ = 20.5°, rel. 391, (1 -1 0)
- 2θ = 28.0°, rel. 437, (1 1 2)
- 2θ = 30.2°, rel. 334, (2 0 -1)
- 2θ = 37.9°, rel. 251, (2 1 -2)

2.
Calculated PXRD pattern of Tb11Sn10 for Cu Kα (λ = 1.5418 Å), from a DFT-relaxed cell (PBE, OQMD).
Kinematic intensities with the Lorentz-polarization factor, no thermal factor.

Structure:
Lattice parameters (Å, degrees): 11.6647 11.6647 17.0959 90.00 90.00 90.00
Space group I4/mmm (No. 139)
Symmetry-distinct sites (fractional):
Tb 0.0000 0.0000 0.1664 x4
Tb 0.0000 0.2510 0.3113 x16
Tb 0.0000 0.3313 0.1022 x16
Tb 0.1738 0.1738 0.5000 x8
Sn 0.0000 0.0000 0.3891 x4
Sn 0.0000 0.3557 0.5000 x8
Sn 0.0000 0.5000 0.2500 x4
Sn 0.1294 0.1294 0.0000 x8
Sn 0.2059 0.2059 0.1759 x16

Most intense lines, 2θ from 10° to 90°, by angle:
- 2θ = 31.3°, rel. 880, (2 1 5)
- 2θ = 31.8°, rel. 1000, (3 2 3)
- 2θ = 32.1°, rel. 515, (3 1 4)
- 2θ = 32.4°, rel. 536, (4 0 2)
- 2θ = 32.6°, rel. 731, (3 3 0)
- 2θ = 34.9°, rel. 491, (3 0 5)

3.
Calculated PXRD pattern of Dy2Ho2BBr5 for Cu Kα (λ = 1.5418 Å), from a DFT-relaxed cell (PBE, OQMD).
Kinematic intensities with the Lorentz-polarization factor, no thermal factor.

Structure:
Lattice parameters (Å, degrees): 17.9420 3.8994 8.1518 90.00 102.78 90.00
Space group C2/m (No. 12)
Symmetry-distinct sites (fractional):
Dy 0.1420 0.0000 0.0742 x4
Ho 0.0007 0.5000 0.7935 x4
B 0.0000 0.0000 0.0000 x2
Br 0.0000 0.0000 0.5000 x2
Br 0.1643 0.5000 0.3387 x4
Br 0.1709 0.5000 0.8303 x4

Most intense lines, 2θ from 10° to 90°, by angle:
- 2θ = 11.1°, rel. 478, (0 0 1)
- 2θ = 30.7°, rel. 463, (6 0 0)
- 2θ = 31.8°, rel. 1000, (1 1 -2)
- 2θ = 34.4°, rel. 287, (5 1 0)
- 2θ = 44.6°, rel. 304, (5 1 2)
- 2θ = 44.8°, rel. 283, (7 1 -2)

4.
Calculated PXRD pattern of Zn6CdHg for Cu Kα (λ = 1.5418 Å), from a DFT-relaxed cell (PBE, OQMD).
Kinematic intensities with the Lorentz-polarization factor, no thermal factor.

Structure:
Lattice parameters (Å, degrees): 6.0487 6.0487 4.3321 90.00 90.00 120.00
Space group P-6m2 (No. 187)
Symmetry-distinct sites (fractional):
Zn 0.0172 0.5086 0.0000 x3
Zn 0.1785 0.3570 0.5000 x3
Cd 0.6667 0.3333 0.5000 x1
Hg 0.0000 0.0000 0.0000 x1

Most intense lines, 2θ from 10° to 90°, by angle:
- 2θ = 26.7°, rel. 215, (1 0 1)
- 2θ = 34.2°, rel. 270, (2 0 0)
- 2θ = 40.2°, rel. 1000, (2 0 1)
- 2θ = 41.7°, rel. 203, (0 0 2)
- 2θ = 61.3°, rel. 177, (2 2 0)
- 2θ = 76.9°, rel. 179, (2 2 2)

5.
Calculated PXRD pattern of Ba4LiTa3O12 for Cu Kα (λ = 1.5418 Å), from a DFT-relaxed cell (PBE, OQMD).
Kinematic intensities with the Lorentz-polarization factor, no thermal factor.

Structure:
Lattice parameters (Å, degrees): 5.8012 5.8012 19.1190 90.00 90.00 120.00
Space group P6_3mc (No. 186)
Symmetry-distinct sites (fractional):
Ba 0.0000 0.0000 0.0000 x2
Ba 0.3333 0.6667 0.1406 x2
Ba 0.3333 0.6667 0.3656 x2
Ba 0.3333 0.6667 0.7432 x2
Li 0.0000 0.0000 0.1636 x2
Ta 0.0000 0.0000 0.3058 x2
Ta 0.3333 0.6667 0.5628 x2
Ta 0.3333 0.6667 0.9358 x2
O 0.0020 0.5010 0.9936 x6
O 0.1600 0.3200 0.2532 x6
O 0.1688 0.3376 0.8752 x6
O 0.1727 0.3454 0.6153 x6

Most intense lines, 2θ from 10° to 90°, by angle:
- 2θ = 25.7°, rel. 254, (1 0 4)
- 2θ = 29.4°, rel. 743, (1 0 5)
- 2θ = 30.8°, rel. 1000, (1 1 0)
- 2θ = 33.3°, rel. 232, (1 0 6)
- 2θ = 43.1°, rel. 381, (2 0 5)
- 2θ = 53.9°, rel. 276, (2 1 5)

6.
Calculated PXRD pattern of HoErAlOs2 for Cu Kα (λ = 1.5418 Å), from a DFT-relaxed cell (PBE, OQMD).
Kinematic intensities with the Lorentz-polarization factor, no thermal factor.

Structure:
Lattice parameters (Å, degrees): 4.1916 5.5990 8.6364 90.00 90.00 90.00
Space group Imm2 (No. 44)
Symmetry-distinct sites (fractional):
Ho 0.0000 0.0000 0.0000 x2
Er 0.0000 0.0000 0.5944 x2
Al 0.0000 0.5000 0.7972 x2
Os 0.0000 0.2773 0.2972 x4

Most intense lines, 2θ from 10° to 90°, by angle:
- 2θ = 23.6°, rel. 541, (1 0 1)
- 2θ = 33.8°, rel. 931, (1 1 2)
- 2θ = 37.9°, rel. 938, (1 0 3)
- 2θ = 38.3°, rel. 898, (0 2 2)
- 2θ = 40.1°, rel. 1000, (1 2 1)
- 2θ = 59.1°, rel. 673, (2 2 2)